Diffraction record for Li9Mn2Co5O16. The X-ray powder pattern is computed, not measured: it uses DFT lattice parameters and positions (GGA+U) and Cu Kα, 1.54184 Å.
Neutral-atom scattering factors, no anomalous dispersion.

Top 10 peaks for 2θ from 10° to 90°, sorted by position:
| (hkl) | two_theta | I (rel.) |
| --- | --- | --- |
| 2 0 -1 | 18.4 | 100 |
| 6 0 1 | 35.3 | 15 |
| 4 2 0 | 36.2 | 26 |
| 2 2 1 | 37.6 | 7 |
| 4 0 2 | 42.6 | 29 |
| 6 2 -1 | 44.0 | 52 |
| 0 2 2 | 47.5 | 9 |
| 8 2 -2 | 58.0 | 9 |
| 2 2 -3 | 62.8 | 15 |
| 10 2 1 | 63.1 | 15 |

Atomic structure:
abc: 19.4358 5.7948 5.1638
angles: 90.00 98.90 90.00
Space group C2 (No. 5)
One atom of each set of equivalent atoms:
Li 0.0000 0.0000 0.0000
Li 0.0000 0.2488 0.5000
Li 0.0000 0.7501 0.5000
Li 0.1221 0.0014 0.7532
Li 0.1226 0.5017 0.7504
Li 0.2494 0.7555 0.9970
Mn 0.1233 0.2546 0.2520
Co 0.0000 0.5007 0.0000
Co 0.1207 0.7562 0.2418
Co 0.2494 0.0050 0.4969
O 0.0602 0.7332 0.9013
O 0.0643 0.2650 0.9192
O 0.0679 0.4893 0.3791
O 0.0693 0.0057 0.3711
O 0.1842 0.0147 0.1371
O 0.1839 0.5018 0.1486
O 0.1849 0.2534 0.5965
O 0.1931 0.7547 0.6108

Diffraction record for CaCu2Mo2O8. The X-ray powder pattern is computed, not measured: it uses DFT lattice parameters and positions (GGA+U) and Cu Kα, 1.54184 Å.
Neutral-atom scattering factors, no anomalous dispersion.

Top 10 peaks for 2θ from 10° to 90°, sorted by position:
| (hkl) | two_theta | I (rel.) |
| --- | --- | --- |
| 0 2 0 | 19.7 | 47 |
| 1 1 2 | 21.4 | 45 |
| 1 1 -3 | 25.9 | 41 |
| 0 0 4 | 27.0 | 100 |
| 1 2 2 | 27.5 | 39 |
| 2 1 -1 | 28.9 | 90 |
| 2 1 1 | 29.2 | 43 |
| 0 3 1 | 30.5 | 31 |
| 1 2 -3 | 31.2 | 36 |
| 1 2 3 | 31.5 | 30 |

Atomic structure:
abc: 6.7588 9.0088 13.1980
angles: 90.00 91.16 90.00
Space group P2_1/c (No. 14)
One atom of each set of equivalent atoms:
Ca 0.1231 0.1651 0.4535
Cu 0.2331 0.6875 0.8574
Cu 0.3888 0.0498 0.8765
Mo 0.0945 0.0418 0.1553
Mo 0.3941 0.5787 0.1372
O 0.0221 0.2277 0.1111
O 0.0909 0.0932 0.8896
O 0.1228 0.0327 0.2910
O 0.1893 0.5682 0.0447
O 0.3123 0.6165 0.2644
O 0.3304 0.5016 0.6037
O 0.4347 0.2218 0.4003
O 0.4873 0.5983 0.8669

Diffraction record for Li3MnP2O8. The X-ray powder pattern is computed, not measured: it uses DFT lattice parameters and positions (GGA+U) and Cu Kα, 1.54184 Å.
Neutral-atom scattering factors, no anomalous dispersion.

Top 10 peaks for 2θ from 10° to 90°, sorted by position:
| (hkl) | two_theta | I (rel.) |
| --- | --- | --- |
| 0 0 2 | 14.1 | 100 |
| 0 1 -2 | 23.1 | 98 |
| 1 0 2 | 24.9 | 83 |
| -1 1 2 | 26.1 | 96 |
| 1 1 0 | 32.4 | 57 |
| 0 1 -4 | 33.5 | 43 |
| 1 0 -4 | 33.9 | 40 |
| 0 1 4 | 35.4 | 27 |
| 1 -2 0 | 36.4 | 30 |
| 2 -1 0 | 37.3 | 27 |

Atomic structure:
abc: 4.8568 4.9941 12.6155
angles: 92.53 91.78 111.67
Space group P1 (No. 1)
One atom of each set of equivalent atoms:
Li 0.0000 0.0000 0.0000
Li 0.9998 0.9998 0.5000
Li 0.3333 0.6826 0.8881
Li 0.3347 0.6844 0.3882
Li 0.6638 0.3146 0.6121
Li 0.6654 0.3164 0.1122
Mn 0.0000 0.9998 0.2498
Mn 0.9981 0.9983 0.7502
P 0.3478 0.6508 0.6315
P 0.3492 0.6526 0.1313
P 0.6491 0.3459 0.8689
P 0.6500 0.3471 0.3687
O 0.2392 0.7602 0.2344
O 0.2386 0.7597 0.7346
O 0.2430 0.3164 0.6281
O 0.2455 0.3183 0.1279
O 0.2496 0.7638 0.5337
O 0.2502 0.7649 0.0334
O 0.2960 0.2334 0.8613
O 0.2967 0.2345 0.3611
O 0.7010 0.7629 0.6392
O 0.7022 0.7651 0.1389
O 0.7481 0.2336 0.9668
O 0.7484 0.2345 0.4666
O 0.7528 0.6803 0.8723
O 0.7548 0.6814 0.3721
O 0.7590 0.2381 0.7658
O 0.7596 0.2386 0.2656